No. 1
Nd3Dy3TlIn2: simulated X-ray diffraction stick pattern (Cu Kα (weighted mean of Kα1 and Kα2)), based on a DFT-relaxed cell (GGA-PBE, Alexandria).
Neutral-atom scattering factors, no anomalous dispersion.

Structural model:
```
data_Nd3Dy3TlIn2
_space_group_name_H-M_alt 'P -6 2 m'
_space_group_IT_number 189
_space_group_name_Hall 'P -6 -2'
_cell_length_a 9.1203
_cell_length_b 9.1203
_cell_length_c 3.7739
_cell_angle_alpha 90.00
_cell_angle_beta 90.00
_cell_angle_gamma 120.00
loop_
_atom_site_label
_atom_site_type_symbol
_atom_site_fract_x
_atom_site_fract_y
_atom_site_fract_z
_atom_site_occupancy
Nd1 Nd 0.0000 0.7113 0.0000 1
Dy1 Dy 0.0000 0.3841 0.5000 1
Tl1 Tl 0.0000 0.0000 0.5000 1
In1 In 0.3333 0.6667 0.0000 1
```

Most intense lines, 2θ = 10–90°, in order of rising 2θ:
- (2 1 0), 2θ 29.93, intensity 27
- (1 1 1), 2θ 30.75, intensity 100
- (2 0 1), 2θ 32.83, intensity 63
- (3 0 0), 2θ 34.05, intensity 91
- (2 1 1), 2θ 38.45, intensity 29
- (2 2 1), 2θ 46.54, intensity 18
- (0 0 2), 2θ 48.23, intensity 17
- (3 2 1), 2θ 56.32, intensity 40
- (3 0 2), 2θ 60.35, intensity 35
- (5 0 1), 2θ 63.88, intensity 19

No. 2
TcAgMo: simulated X-ray diffraction stick pattern (Cu Kα (weighted mean of Kα1 and Kα2)), based on a DFT-relaxed cell (GGA-PBE, Alexandria).
Neutral-atom scattering factors, no anomalous dispersion.

Structural model:
```
data_TcAgMo
_space_group_name_H-M_alt 'I 4 m m'
_space_group_IT_number 107
_space_group_name_Hall 'I 4 -2'
_cell_length_a 2.805
_cell_length_b 2.805
_cell_length_c 12.330
_cell_angle_alpha 90.00
_cell_angle_beta 90.00
_cell_angle_gamma 90.00
loop_
_atom_site_label
_atom_site_type_symbol
_atom_site_fract_x
_atom_site_fract_y
_atom_site_fract_z
_atom_site_occupancy
Tc1 Tc 0.000 0.000 0.000 1
Ag1 Ag 0.000 0.000 0.325 1
Mo1 Mo 0.000 0.000 0.645 1
```

Most intense lines, 2θ = 10–90°, in order of rising 2θ:
- (0 0 4), 2θ 28.97, intensity 2
- (1 0 3), 2θ 38.87, intensity 100
- (0 0 6), 2θ 44.07, intensity 16
- (1 1 0), 2θ 45.74, intensity 32
- (1 0 7), 2θ 62.23, intensity 3
- (1 1 6), 2θ 65.39, intensity 19
- (2 0 0), 2θ 66.69, intensity 10
- (1 0 9), 2θ 77.54, intensity 10
- (2 1 3), 2θ 79.96, intensity 23
- (2 0 6), 2θ 83.44, intensity 10